No. 1
# InCuTeSe
Computed X-ray powder pattern, a wavelength of 1.5418 Å. Input: a cell relaxed with PBE.
No peak broadening, texture or thermal motion is included.

Largest 10 diffraction maxima, most intense first, 10° ≤ 2θ ≤ 80°:
| d [Å] | 2θ/deg | Rel. int. |
| --- | --- | --- |
| 3.508 | 25.4 | 100 |
| 2.148 | 42.1 | 73 |
| 1.831 | 49.8 | 27 |
| 1.835 | 49.7 | 16 |
| 1.240 | 76.9 | 12 |
| 1.395 | 67.1 | 11 |
| 2.650 | 33.8 | 9 |
| 1.242 | 76.7 | 7 |
| 1.517 | 61.1 | 7 |
| 3.376 | 26.4 | 6 |

Crystal structure
a = 6.0695 Å, b = 6.0695 Å, c = 7.4488 Å
α = 114.02°, β = 114.02°, γ = 89.99°
Sites, in units of the cell vectors:
1 In 0.1346 0.8654 0.5000
2 In 0.8654 0.1346 0.0000
3 Cu 0.3647 0.5914 0.9999
4 Cu 0.5914 0.3647 0.4999
5 Te 0.7034 0.9869 0.2496
6 Te 0.9869 0.7034 0.7496
7 Se 0.2695 0.4878 0.2504
8 Se 0.4878 0.2695 0.7504



No. 2
# TaAsPCl13
Computed X-ray powder pattern, a wavelength of 1.5418 Å. Input: a cell relaxed with PBE.
No peak broadening, texture or thermal motion is included.

Largest 10 diffraction maxima, most intense first, 10° ≤ 2θ ≤ 80°:
| d [Å] | 2θ/deg | Rel. int. |
| --- | --- | --- |
| 6.892 | 12.8 | 100 |
| 4.709 | 18.8 | 96 |
| 5.061 | 17.5 | 52 |
| 3.446 | 25.9 | 39 |
| 5.822 | 15.2 | 33 |
| 4.813 | 18.4 | 31 |
| 2.872 | 31.1 | 29 |
| 4.368 | 20.3 | 26 |
| 2.104 | 43.0 | 22 |
| 2.764 | 32.4 | 18 |

Crystal structure
a = 9.4556 Å, b = 9.4556 Å, c = 11.6445 Å
α = 90.00°, β = 90.00°, γ = 115.27°
Sites, in units of the cell vectors:
1 Ta 0.2049 0.7951 0.5000
2 Ta 0.7951 0.2049 0.0000
3 As 0.4518 0.5482 0.3492
4 As 0.5482 0.4518 0.8492
5 P 0.1429 0.8571 0.0350
6 P 0.8571 0.1429 0.5350
7 Cl 0.0208 0.3098 0.1158
8 Cl 0.0709 0.2443 0.5947
9 Cl 0.0840 0.9160 0.3813
10 Cl 0.0994 0.5693 0.3794
11 Cl 0.1389 0.8611 0.8672
12 Cl 0.2443 0.0709 0.0947
13 Cl 0.2599 0.7401 0.0846
14 Cl 0.2937 0.3753 0.8693
15 Cl 0.3098 0.0208 0.6158
16 Cl 0.3270 0.6730 0.6136
17 Cl 0.3753 0.2937 0.3693
18 Cl 0.4307 0.9006 0.3794
19 Cl 0.4467 0.5533 0.1580
20 Cl 0.5533 0.4467 0.6580
21 Cl 0.5693 0.0994 0.8794
22 Cl 0.6247 0.7063 0.8693
23 Cl 0.6730 0.3270 0.1136
24 Cl 0.6902 0.9792 0.1158
25 Cl 0.7063 0.6247 0.3693
26 Cl 0.7401 0.2599 0.5846
27 Cl 0.7557 0.9291 0.5947
28 Cl 0.8611 0.1389 0.3672
29 Cl 0.9006 0.4307 0.8794
30 Cl 0.9160 0.0840 0.8813
31 Cl 0.9291 0.7557 0.0947
32 Cl 0.9792 0.6902 0.6158



No. 3
# LaHgNO
Computed X-ray powder pattern, a wavelength of 1.5418 Å. Input: a cell relaxed with PBE.
No peak broadening, texture or thermal motion is included.

Largest 10 diffraction maxima, most intense first, 10° ≤ 2θ ≤ 80°:
| d [Å] | 2θ/deg | Rel. int. |
| --- | --- | --- |
| 2.922 | 30.6 | 100 |
| 2.647 | 33.9 | 56 |
| 1.576 | 58.6 | 34 |
| 1.752 | 52.2 | 32 |
| 1.871 | 48.7 | 20 |
| 2.337 | 38.5 | 19 |
| 1.461 | 63.7 | 17 |
| 1.438 | 64.8 | 13 |
| 1.205 | 79.5 | 7 |
| 1.323 | 71.3 | 6 |

Crystal structure
a = 5.2934 Å, b = 5.2934 Å, c = 4.6736 Å
α = 90.00°, β = 90.00°, γ = 90.00°
Sites, in units of the cell vectors:
1 La 0.2500 0.7500 0.0000
2 La 0.7500 0.2500 0.0000
3 Hg 0.2500 0.2500 0.4986
4 Hg 0.7500 0.7500 0.5014
5 N 0.2500 0.2500 0.9992
6 N 0.7500 0.7500 0.0008
7 O 0.2500 0.7500 0.5000
8 O 0.7500 0.2500 0.5000



No. 4
# CsLiH2Pd
Computed X-ray powder pattern, a wavelength of 1.5418 Å. Input: a cell relaxed with PBE.
No peak broadening, texture or thermal motion is included.

Largest 10 diffraction maxima, most intense first, 10° ≤ 2θ ≤ 80°:
| d [Å] | 2θ/deg | Rel. int. |
| --- | --- | --- |
| 2.913 | 30.7 | 100 |
| 3.549 | 25.1 | 57 |
| 2.589 | 34.6 | 42 |
| 7.207 | 12.3 | 31 |
| 1.550 | 59.6 | 30 |
| 3.604 | 24.7 | 26 |
| 2.103 | 43.0 | 24 |
| 1.795 | 50.9 | 20 |
| 1.761 | 51.9 | 19 |
| 1.831 | 49.8 | 15 |

Crystal structure
a = 7.6583 Å, b = 7.6583 Å, c = 7.6583 Å
α = 152.34°, β = 152.34°, γ = 39.52°
Sites, in units of the cell vectors:
1 Cs 0.0000 0.0000 0.0000
2 Li 0.7568 0.7568 0.0000
3 H 0.1945 0.1945 0.0000
4 H 0.4272 0.4272 0.0000
5 Pd 0.3095 0.3095 0.0000



No. 5
# In3Cu7
Computed X-ray powder pattern, a wavelength of 1.5418 Å. Input: a cell relaxed with PBE.
No peak broadening, texture or thermal motion is included.

Largest 10 diffraction maxima, most intense first, 10° ≤ 2θ ≤ 80°:
| d [Å] | 2θ/deg | Rel. int. |
| --- | --- | --- |
| 2.166 | 41.7 | 100 |
| 2.136 | 42.3 | 87 |
| 2.145 | 42.1 | 76 |
| 2.129 | 42.5 | 34 |
| 2.152 | 42.0 | 30 |
| 3.038 | 29.4 | 28 |
| 2.606 | 34.4 | 23 |
| 2.181 | 41.4 | 15 |
| 2.050 | 44.2 | 13 |
| 1.303 | 72.5 | 13 |

Crystal structure
a = 6.7410 Å, b = 9.1263 Å, c = 10.0937 Å
α = 106.80°, β = 97.03°, γ = 90.20°
Sites, in units of the cell vectors:
1 In 0.0199 0.1367 0.3775
2 In 0.1179 0.4942 0.3659
3 In 0.1759 0.6617 0.1051
4 In 0.2922 0.0279 0.0558
5 In 0.3578 0.2345 0.8169
6 In 0.4231 0.7815 0.4822
7 In 0.5769 0.2185 0.5178
8 In 0.6422 0.7655 0.1831
9 In 0.7078 0.9721 0.9442
10 In 0.8241 0.3383 0.8949
11 In 0.8821 0.5058 0.6341
12 In 0.9801 0.8633 0.6225
13 Cu 0.0275 0.0888 0.8663
14 Cu 0.0410 0.8083 0.3480
15 Cu 0.0600 0.7921 0.8652
16 Cu 0.1635 0.4997 0.8387
17 Cu 0.1973 0.3525 0.0617
18 Cu 0.2273 0.3497 0.5843
19 Cu 0.2574 0.6421 0.6633
20 Cu 0.2700 0.0485 0.5629
21 Cu 0.3441 0.9581 0.3025
22 Cu 0.3476 0.9268 0.7717
23 Cu 0.3557 0.2596 0.2873
24 Cu 0.4307 0.7345 0.9141
25 Cu 0.4676 0.5173 0.2499
26 Cu 0.5000 0.5000 0.0000
27 Cu 0.5000 0.5000 0.5000
28 Cu 0.5324 0.4827 0.7501
29 Cu 0.5693 0.2655 0.0859
30 Cu 0.6443 0.7404 0.7127
31 Cu 0.6524 0.0732 0.2283
32 Cu 0.6559 0.0419 0.6975
33 Cu 0.7300 0.9515 0.4371
34 Cu 0.7426 0.3579 0.3367
35 Cu 0.7727 0.6503 0.4157
36 Cu 0.8027 0.6475 0.9383
37 Cu 0.8365 0.5003 0.1613
38 Cu 0.9400 0.2079 0.1348
39 Cu 0.9590 0.1917 0.6520
40 Cu 0.9725 0.9112 0.1337



No. 6
# TaTl2GaCl6
Computed X-ray powder pattern, a wavelength of 1.5418 Å. Input: a cell relaxed with PBE.
No peak broadening, texture or thermal motion is included.

Largest 10 diffraction maxima, most intense first, 10° ≤ 2θ ≤ 80°:
| d [Å] | 2θ/deg | Rel. int. |
| --- | --- | --- |
| 3.620 | 24.6 | 100 |
| 4.560 | 19.5 | 98 |
| 2.447 | 36.7 | 80 |
| 2.090 | 43.3 | 51 |
| 2.232 | 40.4 | 30 |
| 2.835 | 31.6 | 26 |
| 1.769 | 51.7 | 18 |
| 1.589 | 58.0 | 18 |
| 1.810 | 50.4 | 18 |
| 1.368 | 68.6 | 17 |

Crystal structure
a = 7.2407 Å, b = 7.2407 Å, c = 13.2861 Å
α = 90.00°, β = 90.00°, γ = 120.00°
Sites, in units of the cell vectors:
1 Ta 0.0000 0.0000 0.2500
2 Ta 0.0000 0.0000 0.7500
3 Tl 0.3333 0.6667 0.0272
4 Tl 0.3333 0.6667 0.4728
5 Tl 0.6667 0.3333 0.5272
6 Tl 0.6667 0.3333 0.9728
7 Ga 0.3333 0.6667 0.7500
8 Ga 0.6667 0.3333 0.2500
9 Cl 0.0102 0.2841 0.8569
10 Cl 0.0102 0.7262 0.6431
11 Cl 0.2738 0.2841 0.6431
12 Cl 0.2738 0.9898 0.8569
13 Cl 0.2841 0.0102 0.3569
14 Cl 0.2841 0.2738 0.1431
15 Cl 0.7159 0.7262 0.8569
16 Cl 0.7159 0.9898 0.6431
17 Cl 0.7262 0.0102 0.1431
18 Cl 0.7262 0.7159 0.3569
19 Cl 0.9898 0.2738 0.3569
20 Cl 0.9898 0.7159 0.1431



No. 7
# GdY2Ag4Pb4
Computed X-ray powder pattern, a wavelength of 1.5418 Å. Input: a cell relaxed with PBE.
No peak broadening, texture or thermal motion is included.

Largest 10 diffraction maxima, most intense first, 10° ≤ 2θ ≤ 80°:
| d [Å] | 2θ/deg | Rel. int. |
| --- | --- | --- |
| 2.881 | 31.0 | 100 |
| 2.139 | 42.3 | 57 |
| 2.785 | 32.1 | 55 |
| 2.336 | 38.5 | 38 |
| 2.126 | 42.5 | 24 |
| 2.604 | 34.4 | 21 |
| 3.969 | 22.4 | 14 |
| 1.344 | 70.0 | 14 |
| 2.259 | 39.9 | 14 |
| 1.464 | 63.5 | 14 |

Crystal structure
a = 8.9831 Å, b = 8.9831 Å, c = 8.9831 Å
α = 149.85°, β = 130.51°, γ = 59.05°
Sites, in units of the cell vectors:
1 Gd 0.0000 0.0000 0.0000
2 Y 0.3722 0.8722 0.5000
3 Y 0.6278 0.1278 0.5000
4 Ag 0.0267 0.3276 0.6991
5 Ag 0.3715 0.6724 0.6991
6 Ag 0.6285 0.3276 0.3009
7 Ag 0.9733 0.6724 0.3009
8 Pb 0.2142 0.2142 0.0000
9 Pb 0.2978 0.5000 0.7978
10 Pb 0.7022 0.5000 0.2022
11 Pb 0.7858 0.7858 0.0000



No. 8
# Pr3Cd2InCu2Pd
Computed X-ray powder pattern, a wavelength of 1.5418 Å. Input: a cell relaxed with PBE.
No peak broadening, texture or thermal motion is included.

Largest 10 diffraction maxima, most intense first, 10° ≤ 2θ ≤ 80°:
| d [Å] | 2θ/deg | Rel. int. |
| --- | --- | --- |
| 2.801 | 32.0 | 100 |
| 2.579 | 34.8 | 86 |
| 2.541 | 35.3 | 53 |
| 2.792 | 32.1 | 52 |
| 2.589 | 34.7 | 45 |
| 2.022 | 44.8 | 36 |
| 2.232 | 40.4 | 31 |
| 1.582 | 58.3 | 24 |
| 2.527 | 35.5 | 23 |
| 2.152 | 42.0 | 20 |

Crystal structure
a = 4.0438 Å, b = 7.7659 Å, c = 7.7659 Å
α = 120.42°, β = 90.00°, γ = 90.00°
Sites, in units of the cell vectors:
1 Pr 0.0000 0.0000 0.0000
2 Pr 0.0000 0.1852 0.5951
3 Pr 0.0000 0.5951 0.1852
4 Cd 0.5000 0.5938 0.8502
5 Cd 0.5000 0.8502 0.5938
6 In 0.5000 0.3412 0.3412
7 Cu 0.5000 0.2611 0.9306
8 Cu 0.5000 0.9306 0.2611
9 Pd 0.0000 0.5886 0.5886



No. 9
# Li2Zn2Ga2PtAu
Computed X-ray powder pattern, a wavelength of 1.5418 Å. Input: a cell relaxed with PBE.
No peak broadening, texture or thermal motion is included.

Largest 10 diffraction maxima, most intense first, 10° ≤ 2θ ≤ 80°:
| d [Å] | 2θ/deg | Rel. int. |
| --- | --- | --- |
| 3.572 | 24.9 | 100 |
| 2.190 | 41.2 | 89 |
| 2.182 | 41.4 | 44 |
| 1.862 | 48.9 | 34 |
| 1.261 | 75.3 | 30 |
| 1.871 | 48.7 | 17 |
| 1.543 | 59.9 | 15 |
| 1.266 | 75.1 | 15 |
| 1.421 | 65.7 | 14 |
| 1.553 | 59.5 | 7 |

Crystal structure
a = 4.3647 Å, b = 4.3647 Å, c = 6.2139 Å
α = 90.00°, β = 90.00°, γ = 90.00°
Sites, in units of the cell vectors:
1 Li 0.0000 0.0000 0.0000
2 Li 0.5000 0.5000 0.5000
3 Zn 0.0000 0.5000 0.2420
4 Zn 0.5000 0.0000 0.7580
5 Ga 0.0000 0.5000 0.7640
6 Ga 0.5000 0.0000 0.2360
7 Pt 0.5000 0.5000 0.0000
8 Au 0.0000 0.0000 0.5000



No. 10
# Y4OsCl4
Computed X-ray powder pattern, a wavelength of 1.5418 Å. Input: a cell relaxed with PBE.
No peak broadening, texture or thermal motion is included.

Largest 10 diffraction maxima, most intense first, 10° ≤ 2θ ≤ 80°:
| d [Å] | 2θ/deg | Rel. int. |
| --- | --- | --- |
| 8.577 | 10.3 | 100 |
| 2.472 | 36.3 | 19 |
| 2.501 | 35.9 | 17 |
| 2.492 | 36.0 | 12 |
| 2.857 | 31.3 | 10 |
| 2.595 | 34.6 | 9 |
| 2.516 | 35.7 | 8 |
| 3.298 | 27.0 | 6 |
| 2.581 | 34.8 | 6 |
| 2.721 | 32.9 | 6 |

Crystal structure
a = 8.5775 Å, b = 8.5775 Å, c = 6.4921 Å
α = 90.32°, β = 90.32°, γ = 89.38°
Sites, in units of the cell vectors:
1 Y 0.1041 0.2582 0.0086
2 Y 0.1057 0.7403 0.5121
3 Y 0.2582 0.1041 0.5086
4 Y 0.2597 0.8943 0.9879
5 Y 0.7403 0.1057 0.0121
6 Y 0.7418 0.8959 0.4914
7 Y 0.8943 0.2597 0.4879
8 Y 0.8959 0.7418 0.9914
9 Os 0.0065 0.9935 0.2500
10 Os 0.9935 0.0065 0.7500
11 Cl 0.1808 0.5791 0.9040
12 Cl 0.1869 0.4178 0.4042
13 Cl 0.4178 0.1869 0.9042
14 Cl 0.4209 0.8192 0.5960
15 Cl 0.5791 0.1808 0.4040
16 Cl 0.5822 0.8131 0.0958
17 Cl 0.8131 0.5822 0.5958
18 Cl 0.8192 0.4209 0.0960



No. 11
# SmGa2Se4
Computed X-ray powder pattern, a wavelength of 1.5418 Å. Input: a cell relaxed with PBE.
No peak broadening, texture or thermal motion is included.

Largest 10 diffraction maxima, most intense first, 10° ≤ 2θ ≤ 80°:
| d [Å] | 2θ/deg | Rel. int. |
| --- | --- | --- |
| 2.455 | 36.6 | 100 |
| 3.818 | 23.3 | 49 |
| 2.904 | 30.8 | 34 |
| 5.552 | 16.0 | 33 |
| 3.021 | 29.6 | 32 |
| 2.628 | 34.1 | 32 |
| 2.963 | 30.2 | 30 |
| 1.996 | 45.4 | 18 |
| 1.983 | 45.8 | 18 |
| 1.702 | 53.9 | 16 |

Crystal structure
a = 14.6372 Å, b = 12.4250 Å, c = 12.1489 Å
α = 73.11°, β = 54.32°, γ = 52.58°
Sites, in units of the cell vectors:
1 Sm 0.1228 0.1228 0.6272
2 Sm 0.1250 0.1250 0.1250
3 Sm 0.3728 0.3728 0.8772
4 Sm 0.3750 0.3750 0.3750
5 Sm 0.6250 0.6250 0.6250
6 Sm 0.6272 0.6272 0.1228
7 Sm 0.8750 0.8750 0.8750
8 Sm 0.8772 0.8772 0.3728
9 Ga 0.0441 0.4554 0.8592
10 Ga 0.1086 0.3899 0.3650
11 Ga 0.1413 0.8592 0.4554
12 Ga 0.1408 0.8587 0.9559
13 Ga 0.3635 0.6350 0.6101
14 Ga 0.3650 0.6365 0.1086
15 Ga 0.3899 0.1086 0.6365
16 Ga 0.4554 0.0441 0.1413
17 Ga 0.5446 0.9559 0.8587
18 Ga 0.6101 0.8914 0.3635
19 Ga 0.6350 0.3635 0.8914
20 Ga 0.6365 0.3650 0.3899
21 Ga 0.8592 0.1413 0.0441
22 Ga 0.8587 0.1408 0.5446
23 Ga 0.8914 0.6101 0.6350
24 Ga 0.9559 0.5446 0.1408
25 Se 0.0928 0.5892 0.4074
26 Se 0.0938 0.0962 0.4065
27 Se 0.0962 0.0938 0.9036
28 Se 0.0964 0.5935 0.9038
29 Se 0.1446 0.8542 0.6672
30 Se 0.1458 0.8554 0.1660
31 Se 0.1660 0.3328 0.1458
32 Se 0.1817 0.3170 0.6379
33 Se 0.3170 0.1817 0.3634
34 Se 0.3328 0.1660 0.8554
35 Se 0.3621 0.6366 0.8183
36 Se 0.3634 0.6379 0.3170
37 Se 0.4065 0.9036 0.0938
38 Se 0.4074 0.4106 0.0928
39 Se 0.4106 0.4074 0.5892
40 Se 0.4108 0.9072 0.5894
41 Se 0.5892 0.0928 0.4106
42 Se 0.5894 0.5926 0.4108
43 Se 0.5926 0.5894 0.9072
44 Se 0.5935 0.0964 0.9062
45 Se 0.6366 0.3621 0.6830
46 Se 0.6379 0.3634 0.1817
47 Se 0.6672 0.8340 0.1446
48 Se 0.6830 0.8183 0.6366
49 Se 0.8183 0.6830 0.3621
50 Se 0.8340 0.6672 0.8542
51 Se 0.8542 0.1446 0.8340
52 Se 0.8554 0.1458 0.3328
53 Se 0.9036 0.4065 0.0962
54 Se 0.9038 0.9062 0.0964
55 Se 0.9062 0.9038 0.5935
56 Se 0.9072 0.4108 0.5926